(1)
For Hg6P2I2Br, a GGA-PBE-relaxed structure gives the theoretical powder diffraction line list in this record (λ = 1.5418 Å (Cu Kα)).
Neutral-atom scattering factors, no anomalous dispersion.

Principal peaks in the range 10° ≤ 2θ ≤ 80°, in order of rising 2θ:
| d/Å | two_theta | intensity |
| --- | --- | --- |
| 6.473 | 13.7 | 30 |
| 5.142 | 17.2 | 23 |
| 4.598 | 19.3 | 100 |
| 3.469 | 25.7 | 23 |
| 3.341 | 26.7 | 39 |
| 3.203 | 27.9 | 38 |
| 3.012 | 29.7 | 54 |
| 2.664 | 33.6 | 49 |
| 2.475 | 36.3 | 26 |
| 2.215 | 40.7 | 25 |

Atomic structure:
a b c (Å): 7.1914 7.4521 8.6159
angles (deg): 68.98 75.11 88.44
Fractional positions:
Hg: 0.1200 0.1588 0.1285
Hg: 0.3234 0.3361 0.4350
Hg: 0.3474 0.7284 0.3955
Hg: 0.6526 0.2716 0.6045
Hg: 0.6766 0.6639 0.5650
Hg: 0.8800 0.8412 0.8715
P: 0.1497 0.0307 0.4246
P: 0.8503 0.9693 0.5754
I: 0.0294 0.3384 0.8252
I: 0.9706 0.6616 0.1748
Br: 0.5000 0.0000 0.0000

(2)
For Tl4CdSn4, a GGA-PBE-relaxed structure gives the theoretical powder diffraction line list in this record (λ = 1.5418 Å (Cu Kα)).
Neutral-atom scattering factors, no anomalous dispersion.

Principal peaks in the range 10° ≤ 2θ ≤ 80°, in order of rising 2θ:
| d/Å | two_theta | intensity |
| --- | --- | --- |
| 3.633 | 24.5 | 4 |
| 3.359 | 26.5 | 6 |
| 2.811 | 31.8 | 100 |
| 2.462 | 36.5 | 18 |
| 2.422 | 37.1 | 33 |
| 1.726 | 53.0 | 24 |
| 1.712 | 53.5 | 11 |
| 1.480 | 62.8 | 15 |
| 1.462 | 63.6 | 26 |
| 1.406 | 66.5 | 12 |

Atomic structure:
a b c (Å): 7.6707 7.6707 7.6707
angles (deg): 95.91 95.91 142.57
Fractional positions:
Tl: 0.0000 0.3239 0.3239
Tl: 0.0000 0.6761 0.6761
Tl: 0.3239 0.0000 0.3239
Tl: 0.6761 0.0000 0.6761
Cd: 0.0000 0.0000 0.0000
Sn: 0.3420 0.3420 0.6841
Sn: 0.3420 0.6580 0.0000
Sn: 0.6580 0.3420 0.0000
Sn: 0.6580 0.6580 0.3159

(3)
For Rb2NaCoC6N6, a GGA-PBE-relaxed structure gives the theoretical powder diffraction line list in this record (λ = 1.5418 Å (Cu Kα)).
Neutral-atom scattering factors, no anomalous dispersion.

Principal peaks in the range 10° ≤ 2θ ≤ 80°, in order of rising 2θ:
| d/Å | two_theta | intensity |
| --- | --- | --- |
| 6.246 | 14.2 | 29 |
| 4.757 | 18.7 | 33 |
| 3.863 | 23.0 | 40 |
| 3.768 | 23.6 | 100 |
| 3.746 | 23.8 | 98 |
| 3.669 | 24.3 | 45 |
| 3.172 | 28.1 | 29 |
| 2.657 | 33.7 | 92 |
| 2.369 | 38.0 | 45 |
| 2.141 | 42.2 | 40 |

Atomic structure:
a b c (Å): 7.3387 7.7257 12.8539
angles (deg): 90.00 124.35 90.00
Fractional positions:
Rb: 0.2290 0.0656 0.2492
Rb: 0.2290 0.4344 0.7492
Rb: 0.7710 0.5656 0.2508
Rb: 0.7710 0.9344 0.7508
Na: 0.0000 0.0000 0.5000
Na: 0.0000 0.5000 0.0000
Co: 0.5000 0.0000 0.0000
Co: 0.5000 0.5000 0.5000
C: 0.2610 0.1343 0.9688
C: 0.2610 0.3657 0.4688
C: 0.3297 0.7012 0.4616
C: 0.3297 0.7988 0.9616
C: 0.3991 0.0194 0.8302
C: 0.3991 0.4806 0.3302
C: 0.6009 0.5194 0.6698
C: 0.6009 0.9806 0.1698
C: 0.6703 0.2012 0.0384
C: 0.6703 0.2988 0.5384
C: 0.7390 0.6343 0.5312
C: 0.7390 0.8657 0.0312
N: 0.1100 0.2183 0.9477
N: 0.1100 0.2817 0.4477
N: 0.2209 0.6739 0.9369
N: 0.2209 0.8261 0.4369
N: 0.3345 0.0340 0.7235
N: 0.3345 0.4660 0.2235
N: 0.6655 0.5340 0.7765
N: 0.6655 0.9660 0.2765
N: 0.7791 0.1739 0.5631
N: 0.7791 0.3261 0.0631
N: 0.8900 0.7183 0.5523
N: 0.8900 0.7817 0.0523

What is the formula in the second record?
Tl4CdSn4